Entry 1:
The following is a simulated powder XRD pattern of Cr2MoP3. It was derived from a GGA-PBE-relaxed structure, using Cu Kα.

Main lines, by intensity (2θ from 10° to 90°):
- d = 1.949 Å, 46.60°, rel. 1000, hkl 2 1 3
- d = 2.783 Å, 32.16°, rel. 791, hkl 0 1 3
- d = 2.026 Å, 44.73°, rel. 687, hkl 1 1 6
- d = 2.032 Å, 44.59°, rel. 463, hkl 2 0 -6
- d = 1.902 Å, 47.83°, rel. 388, hkl 1 0 -9
- d = 2.730 Å, 32.81°, rel. 316, hkl 2 0 0

a b c (Å): 5.4600 3.1299 18.2600
angles (deg): 90.00 90.08 90.00
Atoms (fractional coordinates):
Cr 0.0000 0.0000 0.0000
Cr 0.0001 0.0000 0.3304
Cr 0.0022 0.0000 0.6686
Cr 0.4862 0.5000 0.1672
Cr 0.4857 0.5000 0.8355
Cr 0.5010 0.0000 0.3713
Cr 0.5022 0.0000 0.0397
Cr 0.5033 0.0000 0.7089
Mo 0.4848 0.5000 0.5006
Mo 0.9813 0.5000 0.2052
Mo 0.9816 0.5000 0.8739
Mo 0.9846 0.5000 0.5394
P 0.1696 0.0000 0.4508
P 0.1874 0.0000 0.7896
P 0.1877 0.0000 0.1212
P 0.3073 0.5000 0.6317
P 0.3106 0.5000 0.9617
P 0.3125 0.5000 0.2930
P 0.6624 0.0000 0.2496
P 0.6628 0.0000 0.9177
P 0.6705 0.0000 0.5893
P 0.8012 0.5000 0.0783
P 0.8019 0.5000 0.7467
P 0.8084 0.5000 0.4086

***

Entry 2:
The following is a simulated powder XRD pattern of InAg3. It was derived from a GGA-PBE-relaxed structure, using Cu Kα.

Main lines, by intensity (2θ from 10° to 90°):
- d = 2.327 Å, 38.69°, rel. 1000, hkl 1 0 2
- d = 2.672 Å, 33.54°, rel. 249, hkl 1 0 0
- d = 2.368 Å, 37.99°, rel. 234, hkl 0 0 4
- d = 1.293 Å, 73.22°, rel. 188, hkl 1 1 4
- d = 1.543 Å, 59.96°, rel. 174, hkl 1 1 0
- d = 1.359 Å, 69.10°, rel. 167, hkl 1 0 6

a b c (Å): 3.0855 3.0855 9.4733
angles (deg): 90.00 90.00 120.00
Atoms (fractional coordinates):
In 0.0000 0.0000 0.0000
Ag 0.0000 0.0000 0.5000
Ag 0.3333 0.6667 0.2532
Ag 0.3333 0.6667 0.7468